Starting from a crystal structure in Alexandria, relaxed with GGA-PBE, the powder diffractogram of RbZn4B3O9 was computed for Cu Kα X-rays.
Peak positions follow from Bragg's law for the DFT cell and can differ from measured ones.

Top 12 peaks for 2θ from 10° to 90°, in order of rising 2θ:
index  two_theta  I_rel
0 1 1  18.84  31
1 1 -2  25.28  24
0 1 3  27.22  26
2 0 -2  28.18  71
1 1 -3  29.52  66
1 0 -4  29.76  100
1 1 3  30.69  81
2 1 -1  31.46  51
0 2 0  35.49  35
1 1 4  36.08  46
0 0 6  42.04  25
3 1 -5  54.33  37

Structural model:
```
data_RbZn4B3O9
_chemical_formula_sum 'Rb2 Zn8 B6 O18'
_cell_length_a 7.0237
_cell_length_b 5.0586
_cell_length_c 12.9281
_cell_angle_alpha 90.00
_cell_angle_beta 93.74
_cell_angle_gamma 90.00
_symmetry_space_group_name_H-M 'P 1 2/c 1'
_symmetry_Int_Tables_number 13
loop_
_symmetry_equiv_pos_as_xyz
'x,y,z'
'-x,-y,-z'
'-x,y,-z+1/2'
'x,-y,z+1/2'
loop_
_atom_site_label
_atom_site_type_symbol
_atom_site_fract_x
_atom_site_fract_y
_atom_site_fract_z
Rb1 Rb 0.0000 0.2270 0.2500
Zn1 Zn 0.2100 0.3352 0.5592
Zn2 Zn 0.4880 0.1472 0.1242
B1 B 0.1878 0.1497 0.9537
B2 B 0.5000 0.3488 0.7500
O1 O 0.0365 0.2411 0.8941
O2 O 0.2643 0.1051 0.4368
O3 O 0.2748 0.2950 0.0359
O4 O 0.4088 0.2118 0.6685
O5 O 0.5000 0.3756 0.2500
```

Starting from a crystal structure in Alexandria, relaxed with GGA-PBE, the powder diffractogram of Mg7Cd12Pb was computed for Cu Kα X-rays.
Peak positions follow from Bragg's law for the DFT cell and can differ from measured ones.

Top 12 peaks for 2θ from 10° to 90°, in order of rising 2θ:
index  two_theta  I_rel
1 1 0  11.80  100
3 0 1  26.58  51
2 2 2  29.17  19
3 1 2  31.57  71
4 0 0  33.81  23
4 1 1  35.93  23
4 0 2  37.95  57
4 2 2  41.73  39
5 3 0  50.16  17
5 2 3  53.25  19
6 4 0  63.23  15
6 2 4  65.92  24

Structural model:
```
data_Mg7Cd12Pb
_chemical_formula_sum 'Mg14 Cd24 Pb2'
_cell_length_a 10.6044
_cell_length_b 10.6044
_cell_length_c 10.6044
_cell_angle_alpha 90.00
_cell_angle_beta 90.00
_cell_angle_gamma 90.00
_symmetry_space_group_name_H-M 'I m -3'
_symmetry_Int_Tables_number 204
_symmetry_space_group_name_Hall '-I 2 2 3'
loop_
_atom_site_label
_atom_site_type_symbol
_atom_site_fract_x
_atom_site_fract_y
_atom_site_fract_z
Mg1 Mg 0.0000 0.0000 0.5000
Mg2 Mg 0.2500 0.2500 0.2500
Cd1 Cd 0.0000 0.2663 0.1480
Pb1 Pb 0.0000 0.0000 0.0000
```